(1)
Diffraction record for KY3F10. The PXRD pattern is calculated, not measured: it uses a crystal structure in Alexandria, relaxed with GGA-PBE and λ = 1.5418 Å (Cu Kα).
Lines closer than 0.1° are merged.

Cell and atoms:
```
data_KY3F10
_chemical_formula_sum 'K2 Y6 F20'
_cell_length_a 8.2719
_cell_length_b 8.2719
_cell_length_c 8.2719
_cell_angle_alpha 60.00
_cell_angle_beta 60.00
_cell_angle_gamma 60.00
_space_group_name_H-M_alt 'P 1'
_space_group_IT_number 1
_space_group_name_Hall 'P 1'
loop_
_atom_site_label
_atom_site_type_symbol
_atom_site_fract_x
_atom_site_fract_y
_atom_site_fract_z
_atom_site_occupancy
K1 K 0.2500 0.2500 0.2500 1
K2 K 0.7500 0.7500 0.7500 1
Y1 Y 0.2405 0.2405 0.7595 1
Y2 Y 0.2405 0.7595 0.2405 1
Y3 Y 0.2405 0.7595 0.7595 1
Y4 Y 0.7595 0.2405 0.2405 1
Y5 Y 0.7595 0.2405 0.7595 1
Y6 Y 0.7595 0.7595 0.2405 1
F1 F 0.1119 0.1119 0.1119 1
F2 F 0.1119 0.1119 0.6644 1
F3 F 0.1119 0.6644 0.1119 1
F4 F 0.1699 0.5000 0.5000 1
F5 F 0.1699 0.5000 0.8301 1
F6 F 0.1699 0.8301 0.5000 1
F7 F 0.3356 0.8881 0.8881 1
F8 F 0.5000 0.1699 0.5000 1
F9 F 0.5000 0.1699 0.8301 1
F10 F 0.5000 0.5000 0.1699 1
F11 F 0.5000 0.5000 0.8301 1
F12 F 0.5000 0.8301 0.1699 1
F13 F 0.5000 0.8301 0.5000 1
F14 F 0.6644 0.1119 0.1119 1
F15 F 0.8301 0.1699 0.5000 1
F16 F 0.8301 0.5000 0.1699 1
F17 F 0.8301 0.5000 0.5000 1
F18 F 0.8881 0.3356 0.8881 1
F19 F 0.8881 0.8881 0.3356 1
F20 F 0.8881 0.8881 0.8881 1
```

Most intense lines, 10 to 90 degrees two-theta, by angle:
2θ/deg, I_rel
15.15, 15
21.48, 18
26.39, 100
30.57, 34
40.05, 13
43.78, 55
51.84, 61
54.33, 12
70.13, 19
80.43, 19



(2)
Diffraction record for KY3F10. The PXRD pattern is calculated, not measured: it uses a crystal structure in Alexandria, relaxed with GGA-PBE and λ = 1.5418 Å (Cu Kα).
Lines closer than 0.1° are merged.

Cell and atoms:
```
data_KY3F10
_chemical_formula_sum 'K1 Y3 F10'
_cell_length_a 6.1809
_cell_length_b 6.1809
_cell_length_c 6.1809
_cell_angle_alpha 93.29
_cell_angle_beta 93.29
_cell_angle_gamma 93.29
_space_group_name_H-M_alt 'P 1'
_space_group_IT_number 1
_space_group_name_Hall 'P 1'
loop_
_atom_site_label
_atom_site_type_symbol
_atom_site_fract_x
_atom_site_fract_y
_atom_site_fract_z
_atom_site_occupancy
K1 K 0.0000 0.0000 0.0000 1
Y1 Y 0.4569 0.4569 0.9372 1
Y2 Y 0.4569 0.9372 0.4569 1
Y3 Y 0.9372 0.4569 0.4569 1
F1 F 0.1239 0.4095 0.7728 1
F2 F 0.1239 0.7728 0.4095 1
F3 F 0.2667 0.2667 0.2667 1
F4 F 0.4095 0.1239 0.7728 1
F5 F 0.4095 0.7728 0.1239 1
F6 F 0.4263 0.7127 0.7127 1
F7 F 0.7127 0.4263 0.7127 1
F8 F 0.7127 0.7127 0.4263 1
F9 F 0.7728 0.1239 0.4095 1
F10 F 0.7728 0.4095 0.1239 1
```

Most intense lines, 10 to 90 degrees two-theta, by angle:
2θ/deg, I_rel
14.38, 27
21.01, 21
24.52, 100
26.55, 23
28.99, 51
40.13, 21
42.79, 26
47.58, 27
48.76, 41
50.26, 20



(3)
Diffraction record for KYb3F10. The PXRD pattern is calculated, not measured: it uses a crystal structure in Alexandria, relaxed with GGA-PBE and λ = 1.5418 Å (Cu Kα).
Lines closer than 0.1° are merged.

Cell and atoms:
```
data_KYb3F10
_chemical_formula_sum 'K2 Yb6 F20'
_cell_length_a 8.2385
_cell_length_b 8.2385
_cell_length_c 8.2385
_cell_angle_alpha 60.00
_cell_angle_beta 60.00
_cell_angle_gamma 60.00
_space_group_name_H-M_alt 'P 1'
_space_group_IT_number 1
_space_group_name_Hall 'P 1'
loop_
_atom_site_label
_atom_site_type_symbol
_atom_site_fract_x
_atom_site_fract_y
_atom_site_fract_z
_atom_site_occupancy
K1 K 0.2500 0.2500 0.2500 1
K2 K 0.7500 0.7500 0.7500 1
Yb1 Yb 0.2383 0.2383 0.7617 1
Yb2 Yb 0.2383 0.7617 0.2383 1
Yb3 Yb 0.2383 0.7617 0.7617 1
Yb4 Yb 0.7617 0.2383 0.2383 1
Yb5 Yb 0.7617 0.2383 0.7617 1
Yb6 Yb 0.7617 0.7617 0.2383 1
F1 F 0.1124 0.1124 0.1124 1
F2 F 0.1124 0.1124 0.6629 1
F3 F 0.1124 0.6629 0.1124 1
F4 F 0.1691 0.5000 0.5000 1
F5 F 0.1691 0.5000 0.8309 1
F6 F 0.1691 0.8309 0.5000 1
F7 F 0.3371 0.8876 0.8876 1
F8 F 0.5000 0.1691 0.5000 1
F9 F 0.5000 0.1691 0.8309 1
F10 F 0.5000 0.5000 0.1691 1
F11 F 0.5000 0.5000 0.8309 1
F12 F 0.5000 0.8309 0.1691 1
F13 F 0.5000 0.8309 0.5000 1
F14 F 0.6629 0.1124 0.1124 1
F15 F 0.8309 0.1691 0.5000 1
F16 F 0.8309 0.5000 0.1691 1
F17 F 0.8309 0.5000 0.5000 1
F18 F 0.8876 0.3371 0.8876 1
F19 F 0.8876 0.8876 0.3371 1
F20 F 0.8876 0.8876 0.8876 1
```

Most intense lines, 10 to 90 degrees two-theta, by angle:
2θ/deg, I_rel
15.21, 21
21.57, 22
26.50, 100
30.69, 42
43.96, 48
52.07, 55
54.57, 13
70.46, 19
72.57, 13
80.83, 16



(4)
Diffraction record for K2Zn2F5. The PXRD pattern is calculated, not measured: it uses a crystal structure in Alexandria, relaxed with GGA-PBE and λ = 1.5418 Å (Cu Kα).
Lines closer than 0.1° are merged.

Cell and atoms:
```
data_K2Zn2F5
_chemical_formula_sum 'K2 Zn2 F5'
_cell_length_a 4.2824
_cell_length_b 4.2824
_cell_length_c 7.4121
_cell_angle_alpha 90.00
_cell_angle_beta 90.00
_cell_angle_gamma 90.00
_space_group_name_H-M_alt 'P 1'
_space_group_IT_number 1
_space_group_name_Hall 'P 1'
loop_
_atom_site_label
_atom_site_type_symbol
_atom_site_fract_x
_atom_site_fract_y
_atom_site_fract_z
_atom_site_occupancy
K1 K 0.0000 0.0000 0.0000 1
K2 K 0.0000 0.0000 0.5000 1
Zn1 Zn 0.5000 0.5000 0.2225 1
Zn2 Zn 0.5000 0.5000 0.7775 1
F1 F 0.0000 0.5000 0.2269 1
F2 F 0.0000 0.5000 0.7731 1
F3 F 0.5000 0.0000 0.2269 1
F4 F 0.5000 0.0000 0.7731 1
F5 F 0.5000 0.5000 0.5000 1
```

Most intense lines, 10 to 90 degrees two-theta, by angle:
2θ/deg, I_rel
20.74, 24
24.01, 16
29.50, 43
31.94, 100
42.21, 69
49.16, 22
53.89, 43
61.22, 23
66.76, 24
82.23, 12



(5)
Diffraction record for K2ZnF3. The PXRD pattern is calculated, not measured: it uses a crystal structure in Alexandria, relaxed with GGA-PBE and λ = 1.5418 Å (Cu Kα).
Lines closer than 0.1° are merged.

Cell and atoms:
```
data_K2ZnF3
_chemical_formula_sum 'K4 Zn2 F6'
_cell_length_a 6.4226
_cell_length_b 6.4226
_cell_length_c 7.1755
_cell_angle_alpha 106.21
_cell_angle_beta 106.21
_cell_angle_gamma 51.83
_space_group_name_H-M_alt 'P 1'
_space_group_IT_number 1
_space_group_name_Hall 'P 1'
loop_
_atom_site_label
_atom_site_type_symbol
_atom_site_fract_x
_atom_site_fract_y
_atom_site_fract_z
_atom_site_occupancy
K1 K 0.1638 0.1657 0.0826 1
K2 K 0.1657 0.1638 0.5826 1
K3 K 0.8343 0.8362 0.4174 1
K4 K 0.8362 0.8343 0.9174 1
Zn1 Zn 0.4878 0.5122 0.2500 1
Zn2 Zn 0.5122 0.4878 0.7500 1
F1 F 0.1233 0.8767 0.2500 1
F2 F 0.3494 0.3513 0.4254 1
F3 F 0.3513 0.3494 0.9254 1
F4 F 0.6487 0.6506 0.0746 1
F5 F 0.6506 0.6487 0.5746 1
F6 F 0.8767 0.1233 0.7500 1
```

Most intense lines, 10 to 90 degrees two-theta, by angle:
2θ/deg, I_rel
17.74, 17
29.12, 37
29.55, 35
31.89, 54
35.02, 100
48.08, 60
49.81, 15
50.90, 15
60.37, 13
61.33, 14



(6)
Diffraction record for KZrF5. The PXRD pattern is calculated, not measured: it uses a crystal structure in Alexandria, relaxed with GGA-PBE and λ = 1.5418 Å (Cu Kα).
Lines closer than 0.1° are merged.

Cell and atoms:
```
data_KZrF5
_chemical_formula_sum 'K1 Zr1 F5'
_cell_length_a 6.3258
_cell_length_b 6.3258
_cell_length_c 6.3258
_cell_angle_alpha 140.83
_cell_angle_beta 106.71
_cell_angle_gamma 86.40
_space_group_name_H-M_alt 'P 1'
_space_group_IT_number 1
_space_group_name_Hall 'P 1'
loop_
_atom_site_label
_atom_site_type_symbol
_atom_site_fract_x
_atom_site_fract_y
_atom_site_fract_z
_atom_site_occupancy
K1 K 0.0000 0.0000 0.0000 1
Zr1 Zr 0.5000 0.5000 0.0000 1
F1 F 0.2319 0.5000 0.7319 1
F2 F 0.2830 0.2830 0.0000 1
F3 F 0.5000 0.0000 0.5000 1
F4 F 0.7170 0.7170 0.0000 1
F5 F 0.7681 0.5000 0.2681 1
```

Most intense lines, 10 to 90 degrees two-theta, by angle:
2θ/deg, I_rel
15.16, 75
19.25, 97
23.08, 32
23.56, 57
24.07, 100
31.00, 24
39.07, 28
41.73, 27
42.64, 24
46.39, 38



(7)
Diffraction record for SbKr3F11. The PXRD pattern is calculated, not measured: it uses a crystal structure in Alexandria, relaxed with GGA-PBE and λ = 1.5418 Å (Cu Kα).
Lines closer than 0.1° are merged.

Cell and atoms:
```
data_SbKr3F11
_chemical_formula_sum 'Sb2 Kr6 F22'
_cell_length_a 8.3295
_cell_length_b 8.8092
_cell_length_c 9.2636
_cell_angle_alpha 69.84
_cell_angle_beta 64.34
_cell_angle_gamma 83.47
_space_group_name_H-M_alt 'P 1'
_space_group_IT_number 1
_space_group_name_Hall 'P 1'
loop_
_atom_site_label
_atom_site_type_symbol
_atom_site_fract_x
_atom_site_fract_y
_atom_site_fract_z
_atom_site_occupancy
Sb1 Sb 0.2068 0.3163 0.2284 1
Sb2 Sb 0.7932 0.6837 0.7716 1
Kr1 Kr 0.1741 0.3291 0.7334 1
Kr2 Kr 0.2617 0.8298 0.2189 1
Kr3 Kr 0.3129 0.8520 0.7060 1
Kr4 Kr 0.6871 0.1480 0.2940 1
Kr5 Kr 0.7383 0.1702 0.7811 1
Kr6 Kr 0.8259 0.6709 0.2666 1
F1 F 0.0117 0.1871 0.7057 1
F2 F 0.0415 0.6862 0.6195 1
F3 F 0.1404 0.2049 0.1151 1
F4 F 0.1758 0.5215 0.0813 1
F5 F 0.1844 0.9195 0.9027 1
F6 F 0.2323 0.1113 0.3802 1
F7 F 0.2668 0.4283 0.3451 1
F8 F 0.3347 0.4502 0.7428 1
F9 F 0.4462 0.7927 0.5050 1
F10 F 0.4529 0.3142 0.0791 1
F11 F 0.4980 0.1350 0.8443 1
F12 F 0.5020 0.8650 0.1557 1
F13 F 0.5471 0.6858 0.9209 1
F14 F 0.5538 0.2073 0.4950 1
F15 F 0.6653 0.5498 0.2572 1
F16 F 0.7332 0.5717 0.6549 1
F17 F 0.7677 0.8887 0.6198 1
F18 F 0.8156 0.0805 0.0973 1
F19 F 0.8242 0.4785 0.9187 1
F20 F 0.8596 0.7951 0.8849 1
F21 F 0.9585 0.3138 0.3805 1
F22 F 0.9883 0.8129 0.2943 1
```

Most intense lines, 10 to 90 degrees two-theta, by angle:
2θ/deg, I_rel
21.51, 49
22.56, 100
23.72, 59
24.15, 80
24.92, 46
25.04, 48
25.61, 61
28.49, 28
34.74, 71
43.86, 36



(8)
Diffraction record for La2F13. The PXRD pattern is calculated, not measured: it uses a crystal structure in Alexandria, relaxed with GGA-PBE and λ = 1.5418 Å (Cu Kα).
Lines closer than 0.1° are merged.

Cell and atoms:
```
data_La2F13
_chemical_formula_sum 'La2 F13'
_cell_length_a 6.4335
_cell_length_b 6.4335
_cell_length_c 7.8254
_cell_angle_alpha 117.66
_cell_angle_beta 117.66
_cell_angle_gamma 75.48
_space_group_name_H-M_alt 'P 1'
_space_group_IT_number 1
_space_group_name_Hall 'P 1'
loop_
_atom_site_label
_atom_site_type_symbol
_atom_site_fract_x
_atom_site_fract_y
_atom_site_fract_z
_atom_site_occupancy
La1 La 0.1574 0.1574 0.4362 1
La2 La 0.8426 0.8426 0.5638 1
F1 F 0.0000 0.0000 0.0000 1
F2 F 0.1131 0.1131 0.7007 1
F3 F 0.1699 0.5686 0.7342 1
F4 F 0.2102 0.2102 0.1644 1
F5 F 0.2456 0.6103 0.5513 1
F6 F 0.3897 0.7544 0.4487 1
F7 F 0.4314 0.8301 0.2658 1
F8 F 0.5686 0.1699 0.7342 1
F9 F 0.6103 0.2456 0.5513 1
F10 F 0.7544 0.3897 0.4487 1
F11 F 0.7898 0.7898 0.8356 1
F12 F 0.8301 0.4314 0.2658 1
F13 F 0.8869 0.8869 0.2993 1
```

Most intense lines, 10 to 90 degrees two-theta, by angle:
2θ/deg, I_rel
13.98, 100
15.57, 44
17.48, 34
22.58, 22
24.91, 15
29.10, 14
34.57, 29
35.90, 21
41.09, 17
41.65, 22